Record 1
For MgPd3, a DFT-relaxed cell (GGA-PBE, the Materials Project) gives the simulated powder diffraction line list in this record (Cu Kα X-rays).
Intensities are scaled so that the largest is 100.

The 12 most intense peaks (2θ = 5–70°), by intensity:
Position (°2θ)  I/Imax
38.68  100.0
45.68  61.0
10.05  31.6
41.04  27.2
64.93  21.2
68.22  16.9
20.19  9.5
40.07  8.2
30.48  8.0
36.27  7.4
36.77  6.4
58.70  4.7

Crystal structure
a = 8.9528 Å, b = 8.9528 Å, c = 8.9528 Å
α = 18.46°, β = 18.46°, γ = 18.46°
Atoms (fractional coordinates):
Mg: 0.0000 0.0000 0.0000
Pd: 0.2534 0.2534 0.2534
Pd: 0.5000 0.5000 0.5000
Pd: 0.7466 0.7466 0.7466

=====

Record 2
For Ni3Cl4, a DFT-relaxed cell (GGA-PBE, the Materials Project) gives the simulated powder diffraction line list in this record (Cu Kα X-rays).
Intensities are scaled so that the largest is 100.

The 12 most intense peaks (2θ = 5–70°), by intensity:
Position (°2θ)  I/Imax
35.97  100.0
36.51  48.4
52.33  31.1
52.06  30.6
15.42  20.9
52.18  16.9
51.39  15.4
65.36  15.0
14.57  11.2
16.94  8.1
16.04  7.5
64.92  7.5

Crystal structure
a = 11.6490 Å, b = 11.6490 Å, c = 6.0916 Å
α = 93.72°, β = 93.72°, γ = 17.31°
Atoms (fractional coordinates):
Ni: 0.0000 0.0000 0.0000
Ni: 0.1251 0.1251 0.3745
Ni: 0.2477 0.2477 0.7520
Ni: 0.5000 0.5000 0.5000
Ni: 0.7523 0.7523 0.2480
Ni: 0.8749 0.8749 0.6255
Cl: 0.0591 0.0591 0.6654
Cl: 0.1929 0.1929 0.0911
Cl: 0.3124 0.3124 0.4369
Cl: 0.4386 0.4386 0.8207
Cl: 0.5614 0.5614 0.1793
Cl: 0.6876 0.6876 0.5631
Cl: 0.8071 0.8071 0.9089
Cl: 0.9409 0.9409 0.3346

=====

Record 3
For Eu2GaHg, a DFT-relaxed cell (GGA-PBE, the Materials Project) gives the simulated powder diffraction line list in this record (Cu Kα X-rays).
Intensities are scaled so that the largest is 100.

The 8 most intense peaks (2θ = 5–70°), by intensity:
Position (°2θ)  I/Imax
32.98  100.0
58.89  38.0
47.33  18.3
69.18  11.8
20.02  10.4
38.88  6.2
51.88  2.8
62.86  2.2

Crystal structure
a = 5.4321 Å, b = 5.4321 Å, c = 5.4321 Å
α = 60.00°, β = 60.00°, γ = 60.00°
Atoms (fractional coordinates):
Eu: 0.2500 0.2500 0.2500
Eu: 0.7500 0.7500 0.7500
Ga: 0.0000 0.0000 0.0000
Hg: 0.5000 0.5000 0.5000

=====

Record 4
For ErFeC2, a DFT-relaxed cell (GGA-PBE, the Materials Project) gives the simulated powder diffraction line list in this record (Cu Kα X-rays).
Intensities are scaled so that the largest is 100.

The 12 most intense peaks (2θ = 5–70°), by intensity:
Position (°2θ)  I/Imax
35.45  100.0
39.69  43.0
24.76  37.1
30.30  22.1
50.59  16.7
50.78  14.3
57.40  13.7
69.37  13.4
57.22  11.4
51.24  10.8
24.97  8.5
57.71  7.9

Crystal structure
a = 3.5659 Å, b = 3.7209 Å, c = 3.7209 Å
α = 75.10°, β = 90.00°, γ = 90.00°
Atoms (fractional coordinates):
Er: 0.0000 0.0000 0.0000
Fe: 0.5000 0.6084 0.6084
C: 0.5000 0.1385 0.4483
C: 0.5000 0.4483 0.1385

=====

Record 5
For RuO4, a DFT-relaxed cell (GGA-PBE, the Materials Project) gives the simulated powder diffraction line list in this record (Cu Kα X-rays).
Intensities are scaled so that the largest is 100.

The 12 most intense peaks (2θ = 5–70°), by intensity:
Position (°2θ)  I/Imax
22.04  100.0
20.28  60.9
26.31  60.7
22.19  48.2
22.35  47.0
33.55  24.8
44.91  20.2
35.98  19.8
39.05  15.7
44.13  13.5
42.10  12.2
56.89  12.0

Crystal structure
a = 5.4322 Å, b = 5.4322 Å, c = 8.9684 Å
α = 113.94°, β = 113.94°, γ = 51.01°
Atoms (fractional coordinates):
Ru: 0.2417 0.7583 0.7500
Ru: 0.7583 0.2417 0.2500
O: 0.0824 0.1418 0.4162
O: 0.1418 0.0824 0.9162
O: 0.3397 0.4333 0.8039
O: 0.4333 0.3397 0.3039
O: 0.5667 0.6603 0.6961
O: 0.6603 0.5667 0.1961
O: 0.8582 0.9176 0.0838
O: 0.9176 0.8582 0.5838

=====

Record 6
For Pr2HfS5, a DFT-relaxed cell (GGA-PBE, the Materials Project) gives the simulated powder diffraction line list in this record (Cu Kα X-rays).
Intensities are scaled so that the largest is 100.

The 12 most intense peaks (2θ = 5–70°), by intensity:
Position (°2θ)  I/Imax
25.69  100.0
26.37  74.7
36.33  65.2
26.91  60.4
46.37  60.2
52.75  53.9
23.95  47.8
37.96  37.1
45.23  28.8
34.19  21.6
33.76  19.5
41.11  19.0

Crystal structure
a = 11.7624 Å, b = 8.0193 Å, c = 7.4313 Å
α = 90.00°, β = 90.00°, γ = 90.00°
Atoms (fractional coordinates):
Pr: 0.1769 0.0015 0.0283
Pr: 0.1769 0.4985 0.0283
Pr: 0.3231 0.5015 0.5283
Pr: 0.3231 0.9985 0.5283
Pr: 0.6769 0.0015 0.4717
Pr: 0.6769 0.4985 0.4717
Pr: 0.8231 0.5015 0.9717
Pr: 0.8231 0.9985 0.9717
Hf: 0.0066 0.7500 0.5739
Hf: 0.4934 0.2500 0.0739
Hf: 0.5066 0.7500 0.9261
Hf: 0.9934 0.2500 0.4261
S: 0.0056 0.7500 0.9393
S: 0.0869 0.0346 0.6595
S: 0.0869 0.4654 0.6595
S: 0.1797 0.7500 0.3392
S: 0.2038 0.2500 0.3174
S: 0.2962 0.7500 0.8174
S: 0.3203 0.2500 0.8392
S: 0.4131 0.5346 0.1595
S: 0.4131 0.9654 0.1595
S: 0.4944 0.2500 0.4393
S: 0.5056 0.7500 0.5607
S: 0.5869 0.0346 0.8405
S: 0.5869 0.4654 0.8405
S: 0.6797 0.7500 0.1608
S: 0.7038 0.2500 0.1826
S: 0.7962 0.7500 0.6826
S: 0.8203 0.2500 0.6608
S: 0.9131 0.5346 0.3405
S: 0.9131 0.9654 0.3405
S: 0.9944 0.2500 0.0607

=====

Record 7
For PrCuGe2, a DFT-relaxed cell (GGA-PBE, the Materials Project) gives the simulated powder diffraction line list in this record (Cu Kα X-rays).
Intensities are scaled so that the largest is 100.

The 12 most intense peaks (2θ = 5–70°), by intensity:
Position (°2θ)  I/Imax
33.51  100.0
33.08  39.2
42.25  28.4
42.70  27.5
37.46  24.0
30.13  18.1
61.63  18.0
55.05  18.0
46.76  17.1
51.67  13.6
57.72  13.4
64.83  12.6

Crystal structure
a = 9.0019 Å, b = 9.0019 Å, c = 4.2352 Å
α = 90.00°, β = 90.00°, γ = 152.51°
Atoms (fractional coordinates):
Pr: 0.1038 0.8962 0.7500
Pr: 0.8962 0.1038 0.2500
Cu: 0.3247 0.6753 0.7500
Cu: 0.6753 0.3247 0.2500
Ge: 0.2491 0.7509 0.2500
Ge: 0.4611 0.5389 0.7500
Ge: 0.5389 0.4611 0.2500
Ge: 0.7509 0.2491 0.7500

=====

Record 8
For ErCuPb, a DFT-relaxed cell (GGA-PBE, the Materials Project) gives the simulated powder diffraction line list in this record (Cu Kα X-rays).
Intensities are scaled so that the largest is 100.

The 12 most intense peaks (2θ = 5–70°), by intensity:
Position (°2θ)  I/Imax
33.25  100.0
39.20  77.3
25.47  42.6
52.32  28.0
67.28  26.4
43.50  24.9
65.16  19.0
59.98  9.7
68.26  8.8
47.33  8.6
63.08  7.6
49.83  6.9

Crystal structure
a = 4.5963 Å, b = 4.5963 Å, c = 7.3204 Å
α = 90.00°, β = 90.00°, γ = 120.00°
Atoms (fractional coordinates):
Er: 0.0000 0.0000 0.0000
Er: 0.0000 0.0000 0.5000
Cu: 0.3333 0.6667 0.1693
Cu: 0.6667 0.3333 0.6693
Pb: 0.3333 0.6667 0.7686
Pb: 0.6667 0.3333 0.2686